SrMg6CrO8: theoretical X-ray diffraction stick pattern (λ = 1.5418 Å (Cu Kα)), based on DFT lattice parameters and positions (PBE+U).
Intensities are scaled so that the largest is 100.

Main lines, by angle (10° ≤ 2θ ≤ 90°):
10.24°, d = 8.643 Å, I 44
34.81°, d = 2.577 Å, I 43
39.70°, d = 2.270 Å, I 100
41.81°, d = 2.161 Å, I 41
57.40°, d = 1.605 Å, I 30
59.02°, d = 1.565 Å, I 52

Atomic structure:
Cell lengths 4.5403, 4.5403, 8.6425 Å; angles 90.00, 90.00, 90.00 degrees
Space group P4/mmm (No. 123)
Asymmetric unit:
1 Sr 0.0000 0.0000 0.0000 (multiplicity 1)
2 Mg 0.0000 0.0000 0.5000 (multiplicity 1)
3 Mg 0.0000 0.5000 0.2590 (multiplicity 4)
4 Mg 0.5000 0.5000 0.5000 (multiplicity 1)
5 Cr 0.5000 0.5000 0.0000 (multiplicity 1)
6 O 0.0000 0.0000 0.2734 (multiplicity 2)
7 O 0.0000 0.5000 0.0000 (multiplicity 2)
8 O 0.0000 0.5000 0.5000 (multiplicity 2)
9 O 0.5000 0.5000 0.2511 (multiplicity 2)